The following is a theoretical X-ray powder pattern of CsGe6P8. It was derived from a crystal structure in Alexandria, relaxed with PBE, using Cu Kα, 1.54184 Å.

Cell and atoms:
```
CsGe6P8
1.0
4.699 2.713 5.182
-4.699 2.713 5.182
0.000 -5.426 5.182
Cs Ge P
1 6 8
Direct
0.000 0.000 0.000
0.150 0.532 0.337
0.337 0.150 0.532
0.468 0.663 0.850
0.532 0.337 0.150
0.663 0.850 0.468
0.850 0.468 0.663
0.184 0.423 0.660
0.238 0.238 0.238
0.340 0.816 0.577
0.423 0.660 0.184
0.577 0.340 0.816
0.660 0.184 0.423
0.762 0.762 0.762
0.816 0.577 0.340
```

Principal peaks in the range 2θ = 10–90°, by angle:
17.11°, d 5.182, rel. 100
22.58°, d 3.937, rel. 26
29.60°, d 3.018, rel. 71
31.27°, d 2.861, rel. 19
37.28°, d 2.412, rel. 70
41.28°, d 2.187, rel. 36
51.45°, d 1.776, rel. 26
55.97°, d 1.643, rel. 19

The following is a theoretical X-ray powder pattern of TlRhPb2. It was derived from a crystal structure in Alexandria, relaxed with PBE, using Cu Kα, 1.54184 Å.

Cell and atoms:
```
TlRhPb2
1.0
-1.664 2.292 6.912
1.664 -2.292 6.912
1.664 2.292 -6.912
Tl Rh Pb
1 1 2
Direct
0.000 0.000 0.000
0.193 0.693 0.500
0.362 0.362 0.000
0.676 0.176 0.500
```

Principal peaks in the range 2θ = 10–90°, by angle:
27.44°, d 3.250, rel. 72
27.57°, d 3.236, rel. 21
35.78°, d 2.509, rel. 100
39.10°, d 2.304, rel. 25
39.31°, d 2.292, rel. 30
42.54°, d 2.125, rel. 45
64.02°, d 1.454, rel. 26
68.98°, d 1.361, rel. 18

The following is a theoretical X-ray powder pattern of Ce2Th7Tl2. It was derived from a crystal structure in Alexandria, relaxed with PBE, using Cu Kα, 1.54184 Å.

Cell and atoms:
```
Ce2Th7Tl2
1.0
3.379 -5.899 0.000
3.379 5.899 0.000
0.000 0.000 9.030
Ce Th Tl
2 7 2
Direct
0.227 0.773 0.000
0.773 0.227 0.000
0.000 0.000 0.187
0.000 0.000 0.813
0.000 0.500 0.311
0.000 0.500 0.689
0.500 0.000 0.311
0.500 0.000 0.689
0.500 0.500 0.000
0.272 0.272 0.500
0.728 0.728 0.500
```

Principal peaks in the range 2θ = 10–90°, by angle:
24.86°, d 3.581, rel. 67
28.20°, d 3.165, rel. 89
30.30°, d 2.949, rel. 92
30.49°, d 2.932, rel. 31
33.43°, d 2.681, rel. 100
36.54°, d 2.459, rel. 89
41.87°, d 2.158, rel. 58
66.74°, d 1.402, rel. 38